Diffraction record for LiVP2HO8. The X-ray powder pattern is simulated, not measured: it uses a cell relaxed with GGA+U and copper Kα.

Top 8 peaks for 2θ from 10° to 80°, sorted by position:
- (0 1 1), 2θ 16.51, intensity 81
- (1 1 0), 2θ 22.62, intensity 61
- (1 0 -2), 2θ 25.16, intensity 100
- (0 2 1), 2θ 25.42, intensity 69
- (1 1 1), 2θ 29.15, intensity 88
- (1 2 -1), 2θ 29.31, intensity 38
- (0 2 2), 2θ 33.37, intensity 56
- (1 2 -4), 2θ 52.20, intensity 34

Atomic structure:
Lattice parameters (Å, degrees): 4.8625 8.0104 7.8002 90.00 111.87 90.00
Space group Pc (No. 7)
Unique sites:
1 Li 0.0000 0.1222 0.0000 (multiplicity 2)
2 V 0.0520 0.2560 0.6380 (multiplicity 2)
3 P 0.4109 0.0950 0.3768 (multiplicity 2)
4 P 0.6796 0.4065 0.9027 (multiplicity 2)
5 H 0.5670 0.2594 0.1286 (multiplicity 2)
6 O 0.2521 0.0765 0.8340 (multiplicity 2)
7 O 0.2621 0.1914 0.4972 (multiplicity 2)
8 O 0.3536 0.4218 0.7731 (multiplicity 2)
9 O 0.3624 0.1886 0.1992 (multiplicity 2)
10 O 0.7304 0.2977 0.0775 (multiplicity 2)
11 O 0.7434 0.0758 0.5032 (multiplicity 2)
12 O 0.8158 0.4208 0.4597 (multiplicity 2)
13 O 0.8521 0.3050 0.8025 (multiplicity 2)

Diffraction record for LiVP3HO10. The X-ray powder pattern is simulated, not measured: it uses a cell relaxed with GGA+U and copper Kα.

Top 8 peaks for 2θ from 10° to 80°, sorted by position:
- (1 0 0), 2θ 12.11, intensity 100
- (0 0 2), 2θ 17.90, intensity 41
- (1 1 -1), 2θ 19.98, intensity 15
- (2 0 -2), 2θ 20.59, intensity 15
- (1 1 0), 2θ 21.01, intensity 33
- (2 1 -2), 2θ 26.88, intensity 41
- (2 1 0), 2θ 29.91, intensity 20
- (1 0 -4), 2θ 30.95, intensity 16

Atomic structure:
Lattice parameters (Å, degrees): 8.8251 5.1848 11.9633 90.00 124.06 90.00
Space group P2/c (No. 13)
Unique sites:
1 Li 0.0000 0.2285 0.2500 (multiplicity 2)
2 V 0.5000 0.5000 0.0000 (multiplicity 2)
3 P 0.2528 0.0014 0.9853 (multiplicity 4)
4 P 0.5000 0.2565 0.7500 (multiplicity 2)
5 H 0.0000 0.0000 0.0000 (multiplicity 2)
6 O 0.0457 0.0366 0.4221 (multiplicity 4)
7 O 0.2978 0.2810 0.9789 (multiplicity 4)
8 O 0.3094 0.1947 0.4198 (multiplicity 4)
9 O 0.3474 0.0629 0.6436 (multiplicity 4)
10 O 0.4187 0.4090 0.8114 (multiplicity 4)

Diffraction record for LiVP4H4O14. The X-ray powder pattern is simulated, not measured: it uses a cell relaxed with GGA+U and copper Kα.

Top 8 peaks for 2θ from 10° to 80°, sorted by position:
- (0 1 0), 2θ 13.31, intensity 42
- (0 1 1), 2θ 16.49, intensity 37
- (0 1 -1), 2θ 18.25, intensity 21
- (1 0 -1), 2θ 22.40, intensity 90
- (1 2 1), 2θ 27.00, intensity 100
- (-1 1 1), 2θ 28.69, intensity 18
- (0 2 -1), 2θ 30.17, intensity 21
- (0 2 -2), 2θ 36.94, intensity 15

Atomic structure:
Lattice parameters (Å, degrees): 5.3185 7.1711 8.1041 81.07 80.19 68.80
Space group P-1 (No. 2)
Unique sites:
1 Li 0.0000 0.0000 0.0000 (multiplicity 1)
2 V 0.0000 0.5000 0.0000 (multiplicity 1)
3 P 0.3119 0.2240 0.3135 (multiplicity 2)
4 P 0.3652 0.6327 0.2220 (multiplicity 2)
5 H 0.0974 0.8020 0.4278 (multiplicity 2)
6 H 0.3204 0.0261 0.6367 (multiplicity 2)
7 O 0.1408 0.2639 0.1704 (multiplicity 2)
8 O 0.1594 0.6934 0.0941 (multiplicity 2)
9 O 0.1889 0.1616 0.4855 (multiplicity 2)
10 O 0.2793 0.7875 0.3538 (multiplicity 2)
11 O 0.3459 0.3916 0.8508 (multiplicity 2)
12 O 0.3567 0.4295 0.3331 (multiplicity 2)
13 O 0.3965 0.9285 0.7381 (multiplicity 2)

Diffraction record for Li2VPHO5. The X-ray powder pattern is simulated, not measured: it uses a cell relaxed with GGA+U and copper Kα.

Top 8 peaks for 2θ from 10° to 80°, sorted by position:
- (0 1 -1), 2θ 17.20, intensity 18
- (1 0 0), 2θ 17.72, intensity 25
- (1 -1 1), 2θ 25.39, intensity 25
- (0 1 1), 2θ 25.63, intensity 100
- (1 1 -2), 2θ 27.64, intensity 52
- (2 0 -1), 2θ 33.49, intensity 15
- (1 -1 2), 2θ 34.21, intensity 15
- (1 -2 1), 2θ 35.50, intensity 27

Atomic structure:
Lattice parameters (Å, degrees): 5.3757 5.5771 7.6781 110.01 107.37 95.40
Space group P-1 (No. 2)
Unique sites:
1 Li 0.0763 0.2056 0.3181 (multiplicity 2)
2 Li 0.3271 0.1878 0.8416 (multiplicity 2)
3 V 0.0000 0.5000 0.0000 (multiplicity 1)
4 V 0.5000 0.0000 0.5000 (multiplicity 1)
5 P 0.4315 0.6294 0.7591 (multiplicity 2)
6 H 0.0278 0.7749 0.3599 (multiplicity 2)
7 O 0.0936 0.8408 0.2751 (multiplicity 2)
8 O 0.2597 0.3011 0.1569 (multiplicity 2)
9 O 0.3182 0.8210 0.6635 (multiplicity 2)
10 O 0.3246 0.3397 0.6051 (multiplicity 2)
11 O 0.3278 0.6589 0.9319 (multiplicity 2)

Diffraction record for Li3VP2H2O9. The X-ray powder pattern is simulated, not measured: it uses a cell relaxed with GGA+U and copper Kα.

Top 8 peaks for 2θ from 10° to 80°, sorted by position:
- (2 0 0), 2θ 12.21, intensity 68
- (0 0 1), 2θ 13.15, intensity 40
- (1 1 -1), 2θ 18.68, intensity 100
- (3 1 1), 2θ 26.53, intensity 47
- (2 2 0), 2θ 27.54, intensity 45
- (0 2 1), 2θ 27.98, intensity 53
- (2 0 2), 2θ 30.10, intensity 35
- (5 1 -1), 2θ 35.02, intensity 47

Atomic structure:
Lattice parameters (Å, degrees): 14.5407 7.2393 6.7547 90.00 94.37 90.00
Space group C2/m (No. 12)
Unique sites:
1 Li 0.0000 0.2367 0.0000 (multiplicity 4)
2 Li 0.1218 0.5000 0.6993 (multiplicity 4)
3 Li 0.2500 0.2500 0.5000 (multiplicity 4)
4 V 0.2500 0.2500 0.0000 (multiplicity 4)
5 P 0.1057 0.5000 0.2336 (multiplicity 4)
6 P 0.1218 0.0000 0.6846 (multiplicity 4)
7 H 0.0507 0.0000 0.3601 (multiplicity 4)
8 H 0.1936 0.0000 0.2295 (multiplicity 4)
9 O 0.0015 0.5000 0.2407 (multiplicity 4)
10 O 0.0283 0.0000 0.7770 (multiplicity 4)
11 O 0.1140 0.0000 0.4492 (multiplicity 4)
12 O 0.1307 0.3229 0.1110 (multiplicity 8)
13 O 0.1634 0.5000 0.4356 (multiplicity 4)
14 O 0.1773 0.1776 0.7392 (multiplicity 8)
15 O 0.2415 0.0000 0.1344 (multiplicity 4)

Diffraction record for Li4VP6H8O22. The X-ray powder pattern is simulated, not measured: it uses a cell relaxed with GGA+U and copper Kα.

Top 8 peaks for 2θ from 10° to 80°, sorted by position:
- (0 1 0), 2θ 12.05, intensity 100
- (0 1 1), 2θ 16.03, intensity 23
- (1 1 -1), 2θ 18.57, intensity 42
- (-1 1 1), 2θ 18.80, intensity 39
- (1 0 -2), 2θ 21.09, intensity 25
- (1 2 0), 2θ 27.77, intensity 37
- (-2 1 1), 2θ 28.29, intensity 51
- (1 1 -3), 2θ 32.14, intensity 31

Atomic structure:
Lattice parameters (Å, degrees): 7.0491 7.3514 9.0557 91.80 105.27 90.32
Space group P-1 (No. 2)
Unique sites:
1 Li 0.1214 0.1239 0.4616 (multiplicity 2)
2 Li 0.2259 0.0006 0.7744 (multiplicity 2)
3 V 0.0000 0.5000 0.0000 (multiplicity 1)
4 P 0.2228 0.4423 0.7169 (multiplicity 2)
5 P 0.3145 0.7335 0.5288 (multiplicity 2)
6 P 0.4622 0.3012 0.1580 (multiplicity 2)
7 H 0.0935 0.1568 0.1700 (multiplicity 2)
8 H 0.1043 0.9449 0.1791 (multiplicity 2)
9 H 0.2646 0.7228 0.2040 (multiplicity 2)
10 H 0.2775 0.7725 0.0342 (multiplicity 2)
11 O 0.0547 0.0543 0.2240 (multiplicity 2)
12 O 0.0714 0.5292 0.7846 (multiplicity 2)
13 O 0.1791 0.8815 0.5600 (multiplicity 2)
14 O 0.1839 0.7426 0.0956 (multiplicity 2)
15 O 0.2125 0.2416 0.6810 (multiplicity 2)
16 O 0.2239 0.5389 0.5585 (multiplicity 2)
17 O 0.2470 0.3137 0.0798 (multiplicity 2)
18 O 0.3676 0.7259 0.3814 (multiplicity 2)
19 O 0.4132 0.8307 0.9038 (multiplicity 2)
20 O 0.4420 0.4952 0.8246 (multiplicity 2)
21 O 0.4803 0.2548 0.3359 (multiplicity 2)

Diffraction record for Li2VP2HO8. The X-ray powder pattern is simulated, not measured: it uses a cell relaxed with GGA+U and copper Kα.

Top 8 peaks for 2θ from 10° to 80°, sorted by position:
- (0 1 1), 2θ 16.18, intensity 42
- (0 2 0), 2θ 21.77, intensity 17
- (1 1 -1), 2θ 22.55, intensity 36
- (1 0 1), 2θ 24.74, intensity 66
- (0 2 1), 2θ 24.92, intensity 44
- (1 1 -2), 2θ 28.96, intensity 100
- (0 2 2), 2θ 32.69, intensity 40
- (2 1 -1), 2θ 38.73, intensity 19

Atomic structure:
Lattice parameters (Å, degrees): 4.8611 8.1624 7.6207 90.00 104.05 90.00
Space group P2_1 (No. 4)
Unique sites:
1 Li 0.1314 0.0000 0.0933 (multiplicity 2)
2 Li 0.3579 0.2761 0.4081 (multiplicity 2)
3 V 0.2487 0.6377 0.2530 (multiplicity 2)
4 P 0.1184 0.9892 0.4806 (multiplicity 2)
5 P 0.3834 0.2892 0.0149 (multiplicity 2)
6 H 0.2734 0.6469 0.7596 (multiplicity 2)
7 O 0.0088 0.5797 0.6993 (multiplicity 2)
8 O 0.1026 0.4667 0.4034 (multiplicity 2)
9 O 0.1394 0.1776 0.9140 (multiplicity 2)
10 O 0.2371 0.8219 0.4395 (multiplicity 2)
11 O 0.2667 0.4535 0.0631 (multiplicity 2)
12 O 0.3643 0.0984 0.5875 (multiplicity 2)
13 O 0.3920 0.8103 0.0964 (multiplicity 2)
14 O 0.4867 0.6979 0.8008 (multiplicity 2)

Diffraction record for Li2VP2HO8. The X-ray powder pattern is simulated, not measured: it uses a cell relaxed with GGA+U and copper Kα.

Top 8 peaks for 2θ from 10° to 80°, sorted by position:
- (0 1 0), 2θ 11.53, intensity 21
- (0 1 -1), 2θ 14.03, intensity 79
- (0 1 -2), 2θ 22.18, intensity 22
- (0 2 0), 2θ 23.17, intensity 100
- (1 -1 1), 2θ 23.63, intensity 61
- (1 0 -2), 2θ 25.14, intensity 32
- (1 -1 2), 2θ 31.16, intensity 23
- (-1 2 2), 2θ 33.29, intensity 31

Atomic structure:
Lattice parameters (Å, degrees): 4.8400 8.1289 8.6757 97.78 102.11 105.35
Space group P-1 (No. 2)
Unique sites:
1 Li 0.1691 0.3707 0.1176 (multiplicity 2)
2 Li 0.2801 0.8597 0.7292 (multiplicity 2)
3 V 0.0958 0.8153 0.2862 (multiplicity 2)
4 P 0.3382 0.2342 0.4428 (multiplicity 2)
5 P 0.4103 0.7559 0.0744 (multiplicity 2)
6 H 0.3704 0.4511 0.6319 (multiplicity 2)
7 O 0.0765 0.0683 0.3634 (multiplicity 2)
8 O 0.2248 0.6203 0.1546 (multiplicity 2)
9 O 0.2363 0.3233 0.5920 (multiplicity 2)
10 O 0.2554 0.7354 0.8988 (multiplicity 2)
11 O 0.2646 0.2503 0.9068 (multiplicity 2)
12 O 0.3733 0.8096 0.4922 (multiplicity 2)
13 O 0.3906 0.3628 0.3323 (multiplicity 2)
14 O 0.4041 0.9285 0.1814 (multiplicity 2)